For Dy5Mg24, the PBE geometry in the Materials Project gives the theoretical powder diffraction line list in this record (Cu Kα, 1.54184 Å).

Principal peaks in the range 2θ from 15° to 90°, in order of falling intensity:
- 33.8°, I = 100
- 19.3°, I = 38
- 29.7°, I = 27
- 60.4°, I = 26
- 49.9°, I = 20
- 22.3°, I = 17
- 39.2°, I = 13
- 85.3°, I = 11
- 57.9°, I = 11
- 48.5°, I = 11
- 37.4°, I = 9
- 15.7°, I = 8

Structural model:
Cell lengths 9.756, 9.756, 9.756 Å; angles 109.47, 109.47, 109.47 degrees
Positions (direct):
Dy: 0.000 0.000 0.000
Dy: 0.000 0.000 0.369
Dy: 0.000 0.369 0.000
Dy: 0.369 0.000 0.000
Dy: 0.631 0.631 0.631
Mg: 0.000 0.321 0.607
Mg: 0.000 0.607 0.321
Mg: 0.000 0.628 0.809
Mg: 0.000 0.809 0.628
Mg: 0.181 0.372 0.372
Mg: 0.191 0.191 0.819
Mg: 0.191 0.819 0.191
Mg: 0.286 0.679 0.679
Mg: 0.321 0.000 0.607
Mg: 0.321 0.607 0.000
Mg: 0.372 0.181 0.372
Mg: 0.372 0.372 0.181
Mg: 0.393 0.393 0.714
Mg: 0.393 0.714 0.393
Mg: 0.607 0.000 0.321
Mg: 0.607 0.321 0.000
Mg: 0.628 0.000 0.809
Mg: 0.628 0.809 0.000
Mg: 0.679 0.286 0.679
Mg: 0.679 0.679 0.286
Mg: 0.714 0.393 0.393
Mg: 0.809 0.000 0.628
Mg: 0.809 0.628 0.000
Mg: 0.819 0.191 0.191



For DyMg3, the PBE geometry in the Materials Project gives the theoretical powder diffraction line list in this record (Cu Kα, 1.54184 Å).

Principal peaks in the range 2θ from 15° to 90°, in order of falling intensity:
- 35.6°, I = 100
- 23.0°, I = 98
- 26.8°, I = 45
- 15.4°, I = 38
- 45.1°, I = 32
- 34.5°, I = 24
- 31.0°, I = 24
- 44.2°, I = 24
- 66.7°, I = 21
- 62.5°, I = 19
- 55.2°, I = 19
- 67.4°, I = 15

Structural model:
Cell lengths 6.658, 6.658, 5.201 Å; angles 90.00, 90.00, 120.00 degrees
Positions (direct):
Dy: 0.333 0.667 0.250
Dy: 0.667 0.333 0.750
Mg: 0.164 0.328 0.750
Mg: 0.164 0.836 0.750
Mg: 0.328 0.164 0.250
Mg: 0.672 0.836 0.750
Mg: 0.836 0.164 0.250
Mg: 0.836 0.672 0.250



For Dy5Mg, the PBE geometry in the Materials Project gives the theoretical powder diffraction line list in this record (Cu Kα, 1.54184 Å).

Principal peaks in the range 2θ from 15° to 90°, in order of falling intensity:
- 33.2°, I = 100
- 33.4°, I = 44
- 32.0°, I = 35
- 28.9°, I = 22
- 57.8°, I = 21
- 62.1°, I = 21
- 51.6°, I = 18
- 29.2°, I = 15
- 62.5°, I = 15
- 43.7°, I = 14
- 61.6°, I = 11
- 43.9°, I = 10

Structural model:
Cell lengths 5.592, 9.340, 9.340 Å; angles 22.06, 90.00, 90.00 degrees
Positions (direct):
Dy: 0.000 0.000 0.000
Dy: 0.000 0.330 0.330
Dy: 0.000 0.668 0.668
Dy: 0.500 0.116 0.116
Dy: 0.500 0.447 0.447
Mg: 0.500 0.779 0.779



For DyMg3, the PBE geometry in the Materials Project gives the theoretical powder diffraction line list in this record (Cu Kα, 1.54184 Å).

Principal peaks in the range 2θ from 15° to 90°, in order of falling intensity:
- 34.7°, I = 100
- 21.0°, I = 74
- 40.9°, I = 41
- 24.3°, I = 39
- 62.2°, I = 36
- 49.9°, I = 18
- 54.7°, I = 18
- 56.2°, I = 16
- 83.6°, I = 15
- 66.4°, I = 13
- 77.1°, I = 13
- 42.8°, I = 12

Structural model:
Cell lengths 5.173, 5.173, 5.173 Å; angles 60.00, 60.00, 60.00 degrees
Positions (direct):
Dy: 0.000 0.000 0.000
Mg: 0.250 0.250 0.250
Mg: 0.500 0.500 0.500
Mg: 0.750 0.750 0.750



For DyMg5, the PBE geometry in the Materials Project gives the theoretical powder diffraction line list in this record (Cu Kα, 1.54184 Å).

Principal peaks in the range 2θ from 15° to 90°, in order of falling intensity:
- 34.1°, I = 100
- 35.0°, I = 94
- 15.7°, I = 61
- 17.1°, I = 59
- 25.5°, I = 49
- 34.5°, I = 48
- 34.7°, I = 48
- 26.1°, I = 46
- 27.6°, I = 41
- 29.8°, I = 31
- 23.4°, I = 29
- 33.8°, I = 20

Structural model:
Cell lengths 6.199, 6.199, 7.164 Å; angles 107.10, 107.10, 34.47 degrees
Positions (direct):
Dy: 0.000 0.000 0.000
Mg: 0.001 0.001 0.501
Mg: 0.325 0.325 0.173
Mg: 0.327 0.327 0.655
Mg: 0.673 0.673 0.344
Mg: 0.677 0.677 0.831



For Dy5Mg, the PBE geometry in the Materials Project gives the theoretical powder diffraction line list in this record (Cu Kα, 1.54184 Å).

Principal peaks in the range 2θ from 15° to 90°, in order of falling intensity:
- 33.4°, I = 100
- 29.1°, I = 25
- 32.2°, I = 24
- 62.1°, I = 22
- 58.1°, I = 20
- 51.6°, I = 19
- 43.9°, I = 17
- 62.9°, I = 16
- 85.6°, I = 14
- 89.6°, I = 8
- 19.8°, I = 8
- 81.4°, I = 8

Structural model:
Cell lengths 6.598, 6.598, 6.598 Å; angles 55.38, 55.38, 55.38 degrees
Positions (direct):
Dy: 0.000 0.660 0.340
Dy: 0.168 0.168 0.168
Dy: 0.340 0.000 0.660
Dy: 0.660 0.340 0.000
Dy: 0.832 0.832 0.832
Mg: 0.500 0.500 0.500



For DyMg, the PBE geometry in the Materials Project gives the theoretical powder diffraction line list in this record (Cu Kα, 1.54184 Å).

Principal peaks in the range 2θ from 15° to 90°, in order of falling intensity:
- 33.5°, I = 100
- 23.5°, I = 63
- 59.8°, I = 38
- 54.2°, I = 27
- 41.3°, I = 20
- 48.1°, I = 18
- 80.1°, I = 16
- 75.3°, I = 13
- 70.3°, I = 12
- 84.9°, I = 8
- 89.7°, I = 4

Structural model:
Cell lengths 3.787, 3.787, 3.787 Å; angles 90.00, 90.00, 90.00 degrees
Positions (direct):
Dy: 0.000 0.000 0.000
Mg: 0.500 0.500 0.500



For Dy3Mg2MnS8, the PBE geometry in the Materials Project gives the theoretical powder diffraction line list in this record (Cu Kα, 1.54184 Å).

Principal peaks in the range 2θ from 15° to 90°, in order of falling intensity:
- 32.7°, I = 100
- 26.8°, I = 97
- 46.5°, I = 69
- 47.2°, I = 66
- 26.9°, I = 52
- 32.6°, I = 51
- 35.7°, I = 35
- 28.0°, I = 29
- 27.2°, I = 28
- 57.9°, I = 26
- 48.9°, I = 17
- 42.8°, I = 16

Structural model:
Cell lengths 7.713, 7.713, 7.699 Å; angles 119.03, 119.03, 60.83 degrees
Positions (direct):
Dy: 0.000 0.000 0.000
Dy: 0.000 0.500 0.500
Dy: 0.500 0.000 0.500
Mg: 0.375 0.375 0.125
Mg: 0.625 0.625 0.875
Mn: 0.000 0.000 0.500
S: 0.230 0.768 0.732
S: 0.232 0.770 0.268
S: 0.233 0.233 0.731
S: 0.245 0.245 0.254
S: 0.755 0.755 0.746
S: 0.767 0.767 0.269
S: 0.768 0.230 0.732
S: 0.770 0.232 0.268



For DyMg2Mn3S8, the PBE geometry in the Materials Project gives the theoretical powder diffraction line list in this record (Cu Kα, 1.54184 Å).

Principal peaks in the range 2θ from 15° to 90°, in order of falling intensity:
- 34.1°, I = 100
- 28.2°, I = 79
- 49.3°, I = 48
- 48.6°, I = 43
- 27.9°, I = 33
- 44.8°, I = 24
- 44.9°, I = 22
- 24.1°, I = 22
- 16.9°, I = 19
- 61.3°, I = 16
- 82.4°, I = 13
- 37.5°, I = 13

Structural model:
Cell lengths 7.395, 7.395, 7.484 Å; angles 119.54, 119.54, 60.03 degrees
Positions (direct):
Dy: 0.000 0.000 0.000
Mg: 0.374 0.374 0.123
Mg: 0.626 0.626 0.877
Mn: 0.000 0.000 0.500
Mn: 0.000 0.500 0.500
Mn: 0.500 0.000 0.500
S: 0.220 0.745 0.711
S: 0.240 0.240 0.721
S: 0.254 0.254 0.289
S: 0.255 0.780 0.289
S: 0.745 0.220 0.711
S: 0.746 0.746 0.711
S: 0.760 0.760 0.279
S: 0.780 0.255 0.289